The following is a theoretical PXRD pattern of DyGe2MoO8. It was derived from a crystal structure in Alexandria, relaxed with PBE+U, using λ = 1.5418 Å (Cu Kα).
Peak positions follow from Bragg's law for the DFT cell and can differ from measured ones.

Cell lengths 5.7839, 5.7839, 5.7839 Å; angles 106.95, 106.95, 114.65 degrees
Positions (direct):
Dy1 0.0000 0.0000 0.0000
Ge1 0.2500 0.7500 0.5000
Ge2 0.5000 0.5000 0.0000
Mo1 0.7500 0.2500 0.5000
O1 0.0408 0.3679 0.3270
O2 0.0408 0.7138 0.6730
O3 0.1199 0.3139 0.8060
O4 0.2862 0.9592 0.3270
O5 0.5078 0.3139 0.1940
O6 0.6321 0.9592 0.6730
O7 0.6861 0.4922 0.8060
O8 0.6861 0.8801 0.1940

Main lines, low angle first (15 to 90 degrees two-theta):
d 4.626, 19.19°, rel. 17; d 3.443, 25.88°, rel. 100; d 2.628, 34.11°, rel. 69; d 2.434, 36.93°, rel. 22; d 1.786, 51.14°, rel. 61; d 1.721, 53.22°, rel. 15; d 1.540, 60.10°, rel. 13; d 1.440, 64.74°, rel. 19; d 1.422, 65.66°, rel. 13; d 1.239, 76.93°, rel. 13